Simulated PXRD pattern of Y6PdBr10 for Cu Kα (λ = 1.5418 Å), from a structure optimized by DFT (GGA-PBE).
Peak positions follow from Bragg's law for the DFT cell and can differ from measured ones.

Cell and atoms:
```
data_Y6PdBr10
_symmetry_space_group_name_H-M 'P -1'
_symmetry_Int_Tables_number 2
_cell_length_a 7.367
_cell_length_b 9.220
_cell_length_c 9.272
_cell_angle_alpha 107.52
_cell_angle_beta 96.60
_cell_angle_gamma 104.69
loop_
_symmetry_equiv_pos_as_xyz
'x,y,z'
'-x,-y,-z'
loop_
_atom_site_label
_atom_site_fract_x
_atom_site_fract_y
_atom_site_fract_z
Y1 0.034 0.199 0.406
Y2 0.128 0.547 0.251
Y3 0.361 0.635 0.679
Pd1 0.000 0.500 0.500
Br1 0.088 0.872 0.327
Br2 0.224 0.246 0.154
Br3 0.248 0.579 0.957
Br4 0.344 0.951 0.772
Br5 0.454 0.322 0.587
```

Peak list (6 most intense, 2θ from 10° to 90°, in order of rising 2θ)
2theta	I_rel
10.23	48.0
10.56	46.4
29.55	100.0
30.51	97.3
30.66	95.4
43.80	66.4